[1]
# MnCr4CdSe8
Calculated powder diffraction line list, Cu Kα X-rays. Input: a structure optimized by DFT (PBE).

Structure:
Lattice parameters (Å, degrees): 10.7703 10.7703 10.7703 90.00 90.00 90.00
Space group F-43m (No. 216)
One atom of each set of equivalent atoms:
Mn1 0.0000 0.0000 0.0000 (multiplicity 4)
Cr1 0.1253 0.1253 0.6253 (multiplicity 16)
Cd1 0.2500 0.2500 0.2500 (multiplicity 4)
Se1 0.1096 0.1096 0.3904 (multiplicity 16)
Se2 0.1358 0.1358 0.8642 (multiplicity 16)

Principal peaks in the range 5° ≤ 2θ ≤ 70°, in order of rising 2θ:
d = 3.808 Å, 2θ 23.36, rel. 28; d = 3.247 Å, 2θ 27.47, rel. 46; d = 3.109 Å, 2θ 28.71, rel. 49; d = 2.693 Å, 2θ 33.27, rel. 66; d = 2.073 Å, 2θ 43.67, rel. 47; d = 1.904 Å, 2θ 47.77, rel. 100; d = 1.624 Å, 2θ 56.69, rel. 16; d = 1.555 Å, 2θ 59.46, rel. 13; d = 1.402 Å, 2θ 66.71, rel. 11; d = 1.346 Å, 2θ 69.87, rel. 13

[2]
# CrCdMo
Calculated powder diffraction line list, Cu Kα X-rays. Input: a structure optimized by DFT (PBE).

Structure:
Lattice parameters (Å, degrees): 3.1573 3.1573 9.8905 90.00 90.00 90.00
Space group I4mm (No. 107)
One atom of each set of equivalent atoms:
Cr1 0.0000 0.0000 0.0000 (multiplicity 2)
Cd1 0.0000 0.0000 0.6887 (multiplicity 2)
Mo1 0.0000 0.0000 0.3893 (multiplicity 2)

Principal peaks in the range 5° ≤ 2θ ≤ 70°, in order of rising 2θ:
d = 4.945 Å, 2θ 17.94, rel. 1; d = 3.008 Å, 2θ 29.70, rel. 22; d = 2.473 Å, 2θ 36.33, rel. 12; d = 2.280 Å, 2θ 39.52, rel. 100; d = 2.233 Å, 2θ 40.40, rel. 55; d = 1.676 Å, 2θ 54.76, rel. 1; d = 1.657 Å, 2θ 55.45, rel. 14; d = 1.648 Å, 2θ 55.77, rel. 5; d = 1.579 Å, 2θ 58.46, rel. 18; d = 1.398 Å, 2θ 66.94, rel. 4

[3]
# CrCdN
Calculated powder diffraction line list, Cu Kα X-rays. Input: a structure optimized by DFT (PBE).

Structure:
Lattice parameters (Å, degrees): 2.8101 2.8101 10.8093 90.00 90.00 90.00
Space group P4/nmm (No. 129, origin choice 2)
One atom of each set of equivalent atoms:
Cr1 0.2500 0.2500 0.0803 (multiplicity 2)
Cd1 0.2500 0.2500 0.3704 (multiplicity 2)
N1 0.2500 0.2500 0.8997 (multiplicity 2)

Principal peaks in the range 5° ≤ 2θ ≤ 70°, in order of rising 2θ:
d = 3.603 Å, 2θ 24.71, rel. 38; d = 2.720 Å, 2θ 32.93, rel. 100; d = 2.702 Å, 2θ 33.15, rel. 53; d = 2.493 Å, 2θ 36.02, rel. 51; d = 2.216 Å, 2θ 40.72, rel. 70; d = 1.987 Å, 2θ 45.66, rel. 61; d = 1.740 Å, 2θ 52.60, rel. 19; d = 1.601 Å, 2θ 57.58, rel. 39; d = 1.517 Å, 2θ 61.10, rel. 24; d = 1.405 Å, 2θ 66.55, rel. 18

[4]
# CrCdTeN2
Calculated powder diffraction line list, Cu Kα X-rays. Input: a structure optimized by DFT (PBE).

Structure:
Lattice parameters (Å, degrees): 3.8823 3.8823 5.7111 90.00 90.00 90.00
Space group P4/mmm (No. 123)
One atom of each set of equivalent atoms:
Cr1 0.0000 0.0000 0.0000 (multiplicity 1)
Cd1 0.5000 0.5000 0.5000 (multiplicity 1)
Te1 0.0000 0.0000 0.5000 (multiplicity 1)
N1 0.0000 0.5000 0.0000 (multiplicity 2)

Principal peaks in the range 5° ≤ 2θ ≤ 70°, in order of rising 2θ:
d = 5.711 Å, 2θ 15.52, rel. 99; d = 2.856 Å, 2θ 31.33, rel. 82; d = 2.745 Å, 2θ 32.62, rel. 100; d = 2.474 Å, 2θ 36.31, rel. 95; d = 1.979 Å, 2θ 45.85, rel. 77; d = 1.941 Å, 2θ 46.80, rel. 51; d = 1.838 Å, 2θ 49.60, rel. 23; d = 1.605 Å, 2θ 57.40, rel. 53; d = 1.564 Å, 2θ 59.05, rel. 22; d = 1.373 Å, 2θ 68.34, rel. 15